For Pm2Sm3Dy7, a cell relaxed with GGA-PBE gives the theoretical PXRD pattern in this record (Cu Kα).

Atomic structure:
Cell: 5.8368 3.5876 18.8470 Å, 90.00 93.24 90.00°
Space group P2/m (No. 10)
Inequivalent atoms, fractional coordinates:
1 Pm 0.2088 0.0000 0.2931 x2
2 Sm 0.0000 0.0000 0.0000 x1
3 Sm 0.2786 0.5000 0.6318 x2
4 Dy 0.1862 0.5000 0.1425 x2
5 Dy 0.2426 0.0000 0.4623 x2
6 Dy 0.3119 0.0000 0.8262 x2
7 Dy 0.5000 0.5000 0.0000 x1

Peak list (10 most intense, 15 to 90 degrees two-theta, by angle)
d = 3.136 Å, 2θ 28.5, I 26, hkl 0 0 6; d = 2.931 Å, 2θ 30.5, I 28, hkl 1 1 -2; d = 2.914 Å, 2θ 30.7, I 24, hkl 2 0 0; d = 2.904 Å, 2θ 30.8, I 36, hkl 2 0 -1; d = 2.881 Å, 2θ 31.0, I 100, hkl 1 1 2; d = 2.853 Å, 2θ 31.4, I 28, hkl 0 1 4; d = 2.829 Å, 2θ 31.6, I 45, hkl 1 0 -6; d = 2.699 Å, 2θ 33.2, I 33, hkl 1 0 6; d = 2.598 Å, 2θ 34.5, I 31, hkl 1 1 -4; d = 1.694 Å, 2θ 54.1, I 30, hkl 3 1 1